(1)
# TbPuPdRh
Calculated powder X-ray diffraction pattern, λ = 1.5418 Å (Cu Kα). Input: a crystal structure in Alexandria, relaxed with PBE.
Intensities are scaled so that the largest is 100.

Atomic structure:
```
data_TbPuPdRh
_space_group_name_H-M_alt 'P 1'
_space_group_IT_number 1
_space_group_name_Hall 'P 1'
_cell_length_a 4.134
_cell_length_b 3.831
_cell_length_c 11.103
_cell_angle_alpha 90.00
_cell_angle_beta 90.00
_cell_angle_gamma 90.00
loop_
_atom_site_label
_atom_site_type_symbol
_atom_site_fract_x
_atom_site_fract_y
_atom_site_fract_z
_atom_site_occupancy
Tb1 Tb 0.000 0.000 0.000 1
Tb2 Tb 0.000 0.500 0.500 1
Pu1 Pu 0.500 0.000 0.721 1
Pu2 Pu 0.500 0.500 0.221 1
Pd1 Pd 0.500 0.000 0.441 1
Pd2 Pd 0.500 0.500 0.941 1
Rh1 Rh 0.000 0.000 0.260 1
Rh2 Rh 0.000 0.500 0.760 1
```

Main lines, in order of rising 2θ (2θ = 10–90°):
two_theta, d_spacing, I (rel.)
32.25, 2.776, 38
32.88, 2.724, 100
33.67, 2.662, 27
40.30, 2.238, 56
43.79, 2.067, 24
55.41, 1.658, 22


(2)
# Pu4Pd2Ru
Calculated powder X-ray diffraction pattern, λ = 1.5418 Å (Cu Kα). Input: a crystal structure in Alexandria, relaxed with PBE.
Intensities are scaled so that the largest is 100.

Atomic structure:
```
data_Pu4Pd2Ru
_space_group_name_H-M_alt 'P 1'
_space_group_IT_number 1
_space_group_name_Hall 'P 1'
_cell_length_a 6.889
_cell_length_b 6.889
_cell_length_c 6.860
_cell_angle_alpha 90.00
_cell_angle_beta 90.00
_cell_angle_gamma 90.00
loop_
_atom_site_label
_atom_site_type_symbol
_atom_site_fract_x
_atom_site_fract_y
_atom_site_fract_z
_atom_site_occupancy
Pu1 Pu 0.250 0.250 0.250 1
Pu2 Pu 0.250 0.250 0.750 1
Pu3 Pu 0.250 0.750 0.250 1
Pu4 Pu 0.250 0.750 0.750 1
Pu5 Pu 0.750 0.250 0.250 1
Pu6 Pu 0.750 0.250 0.750 1
Pu7 Pu 0.750 0.750 0.250 1
Pu8 Pu 0.750 0.750 0.750 1
Pd1 Pd 0.000 0.500 0.000 1
Pd2 Pd 0.000 0.500 0.500 1
Pd3 Pd 0.500 0.000 0.000 1
Pd4 Pd 0.500 0.000 0.500 1
Ru1 Ru 0.000 0.000 0.000 1
Ru2 Ru 0.500 0.500 0.500 1
```

Main lines, in order of rising 2θ (2θ = 10–90°):
two_theta, d_spacing, I (rel.)
25.87, 3.444, 20
25.98, 3.430, 10
36.96, 2.432, 100
53.18, 1.722, 12
66.54, 1.405, 24
66.71, 1.402, 12


(3)
# Pu6PdRu5
Calculated powder X-ray diffraction pattern, λ = 1.5418 Å (Cu Kα). Input: a crystal structure in Alexandria, relaxed with PBE.
Intensities are scaled so that the largest is 100.

Atomic structure:
```
data_Pu6PdRu5
_space_group_name_H-M_alt 'P 1'
_space_group_IT_number 1
_space_group_name_Hall 'P 1'
_cell_length_a 8.340
_cell_length_b 8.340
_cell_length_c 4.829
_cell_angle_alpha 106.75
_cell_angle_beta 106.75
_cell_angle_gamma 120.50
loop_
_atom_site_label
_atom_site_type_symbol
_atom_site_fract_x
_atom_site_fract_y
_atom_site_fract_z
_atom_site_occupancy
Pu1 Pu 0.078 0.417 0.748 1
Pu2 Pu 0.245 0.245 0.245 1
Pu3 Pu 0.417 0.078 0.748 1
Pu4 Pu 0.583 0.922 0.252 1
Pu5 Pu 0.755 0.755 0.755 1
Pu6 Pu 0.922 0.583 0.252 1
Pd1 Pd 0.500 0.500 0.000 1
Ru1 Ru 0.000 0.000 0.500 1
Ru2 Ru 0.165 0.835 0.000 1
Ru3 Ru 0.334 0.666 0.500 1
Ru4 Ru 0.666 0.334 0.500 1
Ru5 Ru 0.835 0.165 0.000 1
```

Main lines, in order of rising 2θ (2θ = 10–90°):
two_theta, d_spacing, I (rel.)
26.10, 3.414, 18
37.25, 2.414, 51
37.50, 2.398, 100
53.69, 1.707, 18
67.23, 1.392, 9
67.36, 1.390, 27


(4)
# PuPd3S4
Calculated powder X-ray diffraction pattern, λ = 1.5418 Å (Cu Kα). Input: a crystal structure in Alexandria, relaxed with PBE.
Intensities are scaled so that the largest is 100.

Atomic structure:
```
data_PuPd3S4
_space_group_name_H-M_alt 'P 1'
_space_group_IT_number 1
_space_group_name_Hall 'P 1'
_cell_length_a 6.695
_cell_length_b 6.695
_cell_length_c 6.695
_cell_angle_alpha 90.00
_cell_angle_beta 90.00
_cell_angle_gamma 90.00
loop_
_atom_site_label
_atom_site_type_symbol
_atom_site_fract_x
_atom_site_fract_y
_atom_site_fract_z
_atom_site_occupancy
Pu1 Pu 0.000 0.000 0.000 1
Pu2 Pu 0.500 0.500 0.500 1
Pd1 Pd 0.000 0.250 0.500 1
Pd2 Pd 0.000 0.750 0.500 1
Pd3 Pd 0.250 0.500 0.000 1
Pd4 Pd 0.500 0.000 0.250 1
Pd5 Pd 0.500 0.000 0.750 1
Pd6 Pd 0.750 0.500 0.000 1
S1 S 0.250 0.250 0.250 1
S2 S 0.250 0.250 0.750 1
S3 S 0.250 0.750 0.250 1
S4 S 0.250 0.750 0.750 1
S5 S 0.750 0.250 0.250 1
S6 S 0.750 0.250 0.750 1
S7 S 0.750 0.750 0.250 1
S8 S 0.750 0.750 0.750 1
```

Main lines, in order of rising 2θ (2θ = 10–90°):
two_theta, d_spacing, I (rel.)
18.74, 4.734, 24
29.84, 2.994, 52
32.77, 2.733, 100
38.02, 2.367, 19
51.04, 1.789, 58
54.85, 1.674, 23